Structure and computed powder diffractogram of HoSi (a PBE-relaxed structure; Cu Kα, 1.54184 Å).

Main lines, in order of falling intensity (15 to 90 degrees two-theta):
d_spacing	I/Imax
2.939	100
2.664	80
2.741	72
1.554	45
2.380	44
2.468	42
3.169	41
1.719	40
2.186	36
3.231	31

Structural model:
```
8
Lattice="7.867 0.000 0.000 0.000 3.823 0.000 0.000 0.000 5.664" Properties=species:S:1:pos:R:3 pbc="T T T"
Ho 1.415 0.956 0.652
Ho 2.519 2.867 3.484
Ho 5.348 0.956 2.180
Ho 6.453 2.867 5.012
Si 0.297 0.956 3.566
Si 3.636 2.867 0.734
Si 4.231 0.956 4.929
Si 7.570 2.867 2.097
```

=====

Structure and computed powder diffractogram of SmHoSi3 (a PBE-relaxed structure; Cu Kα, 1.54184 Å).

Main lines, in order of falling intensity (15 to 90 degrees two-theta):
d_spacing	I/Imax
2.715	100
3.326	62
2.693	60
1.594	27
3.074	25
4.134	24
2.097	22
1.774	21
1.765	21
1.977	19

Structural model:
```
10
Lattice="2.097 -12.295 0.000 2.097 12.295 0.000 0.000 0.000 3.954" Properties=species:S:1:pos:R:3 pbc="T T T"
Sm 2.097 10.565 2.966
Sm 2.097 -10.565 0.989
Ho 2.097 7.303 0.989
Ho 2.097 -7.303 2.966
Si 2.097 4.393 0.989
Si 2.097 2.960 2.966
Si 2.097 0.619 2.966
Si 2.097 -0.619 0.989
Si 2.097 -2.960 0.989
Si 2.097 -4.393 2.966
```

=====

Structure and computed powder diffractogram of Ho4SiSn (a PBE-relaxed structure; Cu Kα, 1.54184 Å).

Main lines, in order of falling intensity (15 to 90 degrees two-theta):
d_spacing	I/Imax
2.631	100
2.917	66
3.103	57
3.137	56
2.323	42
2.695	27
1.686	23
1.680	23
1.810	18
2.353	17

Structural model:
```
12
Lattice="7.908 -2.905 0.000 7.908 2.905 0.000 -2.094 0.000 7.361" Properties=species:S:1:pos:R:3 pbc="T T T"
Ho 5.547 2.165 4.081
Ho 7.129 2.165 6.961
Ho 3.440 0.693 6.364
Ho 4.487 -0.693 2.683
Ho 9.236 0.693 4.678
Ho 10.282 -0.693 0.998
Ho 6.594 -2.165 0.400
Ho 8.175 -2.165 3.280
Si 2.907 1.452 3.681
Si 3.954 -1.452 0.000
Sn 7.384 0.773 1.840
Sn 6.338 -0.773 5.521
```

=====

Structure and computed powder diffractogram of SrHo2Si6 (a PBE-relaxed structure; Cu Kα, 1.54184 Å).

Main lines, in order of falling intensity (15 to 90 degrees two-theta):
d_spacing	I/Imax
2.837	100
3.536	96
2.321	54
4.351	46
2.340	42
3.599	34
2.267	33
2.251	32
3.049	27
3.069	27

Structural model:
```
9
Lattice="6.116 -4.351 0.000 6.116 4.351 0.000 -1.247 0.000 3.752" Properties=species:S:1:pos:R:3 pbc="T T T"
Sr 0.000 0.000 0.000
Ho 3.225 0.000 3.194
Ho 7.777 0.000 0.566
Si 3.462 2.262 1.179
Si 5.501 1.320 1.880
Si 7.538 2.264 2.581
Si 3.462 -2.262 1.179
Si 5.501 -1.320 1.880
Si 7.538 -2.264 2.581
```

=====

Structure and computed powder diffractogram of Tb2HoSi2 (a PBE-relaxed structure; Cu Kα, 1.54184 Å).

Main lines, in order of falling intensity (15 to 90 degrees two-theta):
d_spacing	I/Imax
2.811	100
2.848	76
1.608	52
2.945	52
2.437	49
2.544	49
2.996	47
2.150	44
3.313	35
1.590	35

Structural model:
```
10
Lattice="6.082 -2.150 0.000 6.082 2.150 0.000 -4.662 0.000 9.298" Properties=species:S:1:pos:R:3 pbc="T T T"
Tb -0.680 0.000 1.750
Tb -0.550 0.000 5.468
Tb 8.051 0.000 3.830
Tb 8.181 0.000 7.548
Ho 2.745 0.000 1.282
Ho 4.756 0.000 8.015
Si 0.348 0.000 8.748
Si 3.019 0.000 5.620
Si 4.482 0.000 3.678
Si 7.154 0.000 0.550
```

=====

Structure and computed powder diffractogram of Ho2Si4Tc3 (a PBE-relaxed structure; Cu Kα, 1.54184 Å).

Main lines, in order of falling intensity (15 to 90 degrees two-theta):
d_spacing	I/Imax
2.377	100
2.358	88
2.991	79
2.129	67
2.138	47
2.566	47
2.550	37
1.421	30
3.176	30
1.496	28

Structural model:
```
18
Lattice="6.766 0.000 0.000 0.000 6.776 0.000 -2.325 0.000 6.348" Properties=species:S:1:pos:R:3 pbc="T T T"
Ho 1.161 1.137 0.366
Ho -0.001 2.251 3.540
Ho 4.442 4.525 2.808
Ho 3.280 5.639 5.981
Si -1.346 3.736 5.569
Si -0.184 6.429 2.395
Si 1.828 4.345 4.010
Si 2.990 5.819 0.837
Si 1.451 0.957 5.511
Si 2.613 2.431 2.337
Si 4.625 0.348 3.953
Si 5.787 3.040 0.779
Tc 1.020 4.403 1.635
Tc -0.143 5.761 4.809
Tc 2.221 0.000 3.174
Tc 3.383 3.388 0.000
Tc 4.584 1.015 1.539
Tc 3.421 2.373 4.713
```

=====

Structure and computed powder diffractogram of HoSi2Tc3 (a PBE-relaxed structure; Cu Kα, 1.54184 Å).

Main lines, in order of falling intensity (15 to 90 degrees two-theta):
d_spacing	I/Imax
2.495	100
2.057	49
2.887	42
2.579	33
2.525	27
2.444	23
2.269	22
2.285	19
2.858	17
2.473	16

Structural model:
```
18
Lattice="8.020 -2.057 0.000 8.020 2.057 0.000 -2.488 0.000 9.105" Properties=species:S:1:pos:R:3 pbc="T T T"
Ho 0.000 0.000 0.000
Ho 0.770 0.000 6.584
Ho 12.781 0.000 2.521
Si 2.941 0.000 1.146
Si 4.332 0.000 4.665
Si 6.911 0.000 1.921
Si 6.640 0.000 7.183
Si 9.219 0.000 4.440
Si 10.610 0.000 7.959
Tc -0.288 0.000 3.322
Tc 2.252 0.000 3.497
Tc 5.213 0.000 0.094
Tc 4.091 0.000 7.152
Tc 6.776 0.000 4.552
Tc 9.460 0.000 1.953
Tc 8.338 0.000 9.010
Tc 11.300 0.000 5.608
Tc 13.840 0.000 5.783
```

=====

Structure and computed powder diffractogram of Ho5Si2Te2 (a PBE-relaxed structure; Cu Kα, 1.54184 Å).

Main lines, in order of falling intensity (15 to 90 degrees two-theta):
d_spacing	I/Imax
2.709	100
2.555	74
2.651	73
3.464	60
2.427	56
2.417	55
2.862	51
3.387	50
2.743	49
1.565	41

Structural model:
```
18
Lattice="7.568 -3.869 0.000 7.568 3.869 0.000 0.000 0.000 7.780" Properties=species:S:1:pos:R:3 pbc="T T T"
Ho 0.000 0.000 0.000
Ho 5.694 2.601 5.174
Ho 5.694 1.269 1.284
Ho 9.442 2.601 5.174
Ho 9.442 1.269 1.284
Ho 7.568 0.000 3.890
Ho 5.694 -1.269 6.496
Ho 5.694 -2.601 2.606
Ho 9.442 -1.269 6.496
Ho 9.442 -2.601 2.606
Si 7.568 2.825 2.855
Si 7.568 1.044 6.745
Si 7.568 -1.044 1.035
Si 7.568 -2.825 4.925
Te 3.109 0.000 0.000
Te 4.459 0.000 3.890
Te 10.678 0.000 3.890
Te 12.027 0.000 0.000
```

=====

Structure and computed powder diffractogram of Ho3SiTe (a PBE-relaxed structure; Cu Kα, 1.54184 Å).

Main lines, in order of falling intensity (15 to 90 degrees two-theta):
d_spacing	I/Imax
2.965	100
2.847	57
2.208	44
2.732	37
2.457	33
3.301	32
2.041	29
1.659	23
2.016	22
3.279	22

Structural model:
```
10
Lattice="6.666 -2.041 0.000 6.666 2.041 0.000 -1.875 0.000 10.332" Properties=species:S:1:pos:R:3 pbc="T T T"
Ho 0.636 0.000 3.986
Ho 3.155 0.000 9.557
Ho 4.799 0.000 2.596
Ho 6.657 0.000 7.736
Ho 8.301 0.000 0.775
Ho 10.821 0.000 6.346
Si -1.474 0.000 9.122
Si 12.930 0.000 1.210
Te 1.995 0.000 6.765
Te 9.461 0.000 3.567
```

=====

Structure and computed powder diffractogram of Ho2ThSi4 (a PBE-relaxed structure; Cu Kα, 1.54184 Å).

Main lines, in order of falling intensity (15 to 90 degrees two-theta):
d_spacing	I/Imax
2.742	100
3.258	67
2.703	55
4.138	40
1.743	34
2.915	29
2.410	26
1.782	25
1.589	23
2.129	22

Structural model:
```
7
Lattice="-1.965 2.129 8.745 1.965 -2.129 8.745 1.965 2.129 -8.745" Properties=species:S:1:pos:R:3 pbc="T T T"
Ho 0.000 0.000 3.196
Ho 0.000 0.000 14.294
Th 1.965 0.000 0.000
Si 0.000 0.000 6.111
Si 1.965 0.000 7.571
Si 0.000 2.129 1.174
Si 0.000 0.000 11.379
```

=====

Structure and computed powder diffractogram of Ho5Tl2Si2 (a PBE-relaxed structure; Cu Kα, 1.54184 Å).

Main lines, in order of falling intensity (15 to 90 degrees two-theta):
d_spacing	I/Imax
2.742	100
2.695	42
2.725	37
2.383	37
2.579	26
1.562	23
1.418	22
2.863	19
3.335	19
3.406	19

Structural model:
```
18
Lattice="7.894 -3.807 0.000 7.894 3.807 0.000 0.000 0.000 7.634" Properties=species:S:1:pos:R:3 pbc="T T T"
Ho 0.000 0.000 0.000
Ho 5.944 2.425 5.168
Ho 5.944 1.381 1.352
Ho 9.844 2.425 5.168
Ho 9.844 1.381 1.352
Ho 7.894 0.000 3.817
Ho 5.944 -1.381 6.282
Ho 5.944 -2.425 2.465
Ho 9.844 -1.381 6.282
Ho 9.844 -2.425 2.465
Tl 3.486 0.000 0.000
Tl 4.408 0.000 3.817
Tl 11.380 0.000 3.817
Tl 12.302 0.000 0.000
Si 7.894 2.895 2.882
Si 7.894 0.912 6.699
Si 7.894 -0.912 0.935
Si 7.894 -2.895 4.752
```

=====

Structure and computed powder diffractogram of Ho6TlSi2 (a PBE-relaxed structure; Cu Kα, 1.54184 Å).

Main lines, in order of falling intensity (15 to 90 degrees two-theta):
d_spacing	I/Imax
2.820	100
2.615	37
2.570	36
2.996	25
2.665	22
2.364	19
1.553	19
3.225	17
3.063	15
1.643	11

Structural model:
```
18
Lattice="-4.729 4.813 5.137 4.729 -4.813 5.137 4.729 4.813 -5.137" Properties=species:S:1:pos:R:3 pbc="T T T"
Ho 4.729 2.837 -2.666
Ho 2.627 1.782 0.000
Ho 6.831 1.782 0.000
Ho 1.922 4.813 -1.842
Ho 2.807 0.000 3.294
Ho 0.000 1.976 2.471
Ho 4.729 2.837 2.666
Ho 1.922 4.813 1.842
Ho 2.807 0.000 6.979
Ho -2.102 3.031 5.137
Ho 2.102 3.031 5.137
Ho 0.000 1.976 7.802
Tl 0.000 0.000 0.000
Tl 0.000 0.000 5.137
Si 4.729 0.000 1.195
Si 0.000 3.552 0.000
Si 0.000 6.075 0.000
Si 0.000 4.813 3.942
```

=====

Structure and computed powder diffractogram of HoV4Si4 (a PBE-relaxed structure; Cu Kα, 1.54184 Å).

Main lines, in order of falling intensity (15 to 90 degrees two-theta):
d_spacing	I/Imax
2.850	100
4.033	86
2.547	78
2.015	48
1.802	38
2.328	37
2.238	26
1.720	25
1.522	20
1.426	17

Structural model:
```
18
Lattice="8.054 0.000 0.000 0.000 8.054 0.000 0.000 0.000 4.662" Properties=species:S:1:pos:R:3 pbc="T T T"
Ho 2.014 2.014 1.165
Ho 6.041 6.041 3.496
V 1.036 6.949 3.047
V 1.105 5.063 0.716
V 2.922 7.019 0.716
V 2.992 5.132 3.047
V 5.063 2.922 1.615
V 5.132 1.036 3.946
V 6.949 2.992 3.946
V 7.019 1.105 1.615
Si 0.409 7.330 0.778
Si 0.724 4.436 3.109
Si 3.303 7.645 3.109
Si 3.618 4.751 0.778
Si 4.436 3.303 3.884
Si 4.751 0.409 1.553
Si 7.330 3.618 1.553
Si 7.645 0.724 3.884
```